# Cs12PtO3
Simulated powder diffractogram, Cu Kα, 1.54184 Å. Input: the PBE geometry in Alexandria.
No peak broadening, texture or thermal motion is included.

Peak list (6 most intense, 2θ = 10–80°, in order of rising 2θ)
2theta	I_rel	h k l
15.6	42	2 0 1
22.3	38	1 3 0
24.3	36	1 3 1
24.8	43	4 0 0
25.1	100	2 1 2
28.8	46	2 2 2

Crystal structure
Cell: 16.5766 16.5766 9.3532 Å, 90.00 90.00 120.00°
Space group P6_3/m (No. 176)
Inequivalent atoms, fractional coordinates:
Cs (0.0149, 0.4703, 0.2500) x6
Cs (0.0630, 0.8279, 0.7500) x6
Cs (0.2218, 0.7450, 0.5029) x12
Pt (0.3333, 0.6667, 0.2500) x2
O (0.1196, 0.7029, 0.7500) x6

***

# La2Dy3Ho6
Simulated powder diffractogram, Cu Kα, 1.54184 Å. Input: the PBE geometry in Alexandria.
No peak broadening, texture or thermal motion is included.

Peak list (6 most intense, 2θ = 10–80°, in order of rising 2θ)
2theta	I_rel	h k l
28.7	100	1 1 4
32.1	23	0 0 12
34.3	76	1 1 8
37.9	67	2 0 0
50.5	26	2 0 12
62.0	25	1 1 20

Crystal structure
Cell: 4.7453 4.7453 33.4531 Å, 90.00 90.00 90.00°
Space group I4/mmm (No. 139)
Inequivalent atoms, fractional coordinates:
La (0.0000, 0.0000, 0.0462) x4
Dy (0.0000, 0.0000, 0.2978) x4
Dy (0.0000, 0.0000, 0.5000) x2
Ho (0.0000, 0.0000, 0.1957) x4
Ho (0.0000, 0.5000, 0.1237) x8

***

# Ce3TlPb3
Simulated powder diffractogram, Cu Kα, 1.54184 Å. Input: the PBE geometry in Alexandria.
No peak broadening, texture or thermal motion is included.

Peak list (6 most intense, 2θ = 10–80°, in order of rising 2θ)
2theta	I_rel	h k l
30.2	23	1 2 0
30.5	30	0 0 2
33.9	100	1 2 1
53.6	18	4 1 0
56.4	24	1 2 3
62.9	22	4 1 2

Crystal structure
Cell: 9.0521 9.0521 5.8606 Å, 90.00 90.00 120.00°
Space group P6_3/m (No. 176)
Inequivalent atoms, fractional coordinates:
Ce (0.0967, 0.6366, 0.2500) x6
Tl (0.3333, 0.6667, 0.7500) x2
Pb (0.0547, 0.8068, 0.7500) x6

***

# MgBi2F12
Simulated powder diffractogram, Cu Kα, 1.54184 Å. Input: the PBE geometry in Alexandria.
No peak broadening, texture or thermal motion is included.

Peak list (6 most intense, 2θ = 10–80°, in order of rising 2θ)
2theta	I_rel	h k l
18.9	100	1 0 1
20.1	58	1 1 0
28.6	16	2 0 0
32.3	18	1 1 2
34.5	39	2 1 1
40.8	18	2 2 0

Crystal structure
Cell: 6.2499 6.2499 7.1175 Å, 90.00 90.00 90.00°
Space group P-4m2 (No. 115)
Inequivalent atoms, fractional coordinates:
Mg (0.0000, 0.0000, 0.0000) x1
Bi (0.0000, 0.5000, 0.2155) x2
F (0.0000, 0.5000, 0.4978) x2
F (0.0000, 0.5000, 0.9321) x2
F (0.2021, 0.2375, 0.1910) x8

***

# Tb4Dy2YHo2
Simulated powder diffractogram, Cu Kα, 1.54184 Å. Input: the PBE geometry in Alexandria.
No peak broadening, texture or thermal motion is included.

Peak list (6 most intense, 2θ = 10–80°, in order of rising 2θ)
2theta	I_rel	h k l
29.0	34	6 0 -1
31.3	51	0 0 3
32.0	100	3 1 -2
33.7	88	3 1 1
51.0	39	0 2 0
61.1	45	9 1 1

Crystal structure
Cell: 18.6099 3.5847 9.5149 Å, 90.00 115.75 90.00°
Space group C2/m (No. 12)
Inequivalent atoms, fractional coordinates:
Tb (0.0188, 0.0000, 0.3350) x4
Tb (0.1854, 0.5000, 0.3335) x4
Dy (0.1483, 0.5000, 0.6677) x4
Y (0.0000, 0.5000, 0.0000) x2
Ho (0.1672, 0.0000, 0.9998) x4

***

# Ba3BiH
Simulated powder diffractogram, Cu Kα, 1.54184 Å. Input: the PBE geometry in Alexandria.
No peak broadening, texture or thermal motion is included.

Peak list (6 most intense, 2θ = 10–80°, in order of rising 2θ)
2theta	I_rel	h k l
25.0	40	2 0 1
26.9	100	1 3 1
28.9	33	2 4 0
31.9	41	3 1 1
37.4	24	0 0 2
50.3	29	5 3 1

Crystal structure
Cell: 10.6210 15.1834 4.8062 Å, 90.00 90.00 90.00°
Space group Cmmm (No. 65)
Inequivalent atoms, fractional coordinates:
Ba (0.0000, 0.1753, 0.0000) x4
Ba (0.1908, 0.3781, 0.5000) x8
Bi (0.0000, 0.0000, 0.5000) x2
Bi (0.0000, 0.5000, 0.0000) x2
H (0.2500, 0.2500, 0.0000) x4

***

# Li2IrSeO6
Simulated powder diffractogram, Cu Kα, 1.54184 Å. Input: the PBE geometry in Alexandria.
No peak broadening, texture or thermal motion is included.

Peak list (6 most intense, 2θ = 10–80°, in order of rising 2θ)
2theta	I_rel	h k l
16.3	32	1 0 0
17.8	97	0 0 1
23.1	100	1 1 0
29.3	82	1 1 1
43.3	31	1 1 2
66.0	32	2 0 3

Crystal structure
Cell: 5.4464 5.4464 4.9755 Å, 90.00 90.00 90.00°
Space group P4mm (No. 99)
Inequivalent atoms, fractional coordinates:
Li (0.0000, 0.5000, 0.0000) x2
Ir (0.0000, 0.0000, 0.7427) x1
Se (0.5000, 0.5000, 0.7562) x1
O (0.0000, 0.0000, 0.3899) x1
O (0.2397, 0.2397, 0.8724) x4
O (0.5000, 0.5000, 0.4269) x1

***

# CeNd12Dy2
Simulated powder diffractogram, Cu Kα, 1.54184 Å. Input: the PBE geometry in Alexandria.
No peak broadening, texture or thermal motion is included.

Peak list (6 most intense, 2θ = 10–80°, in order of rising 2θ)
2theta	I_rel	h k l
29.3	60	0 2 7
30.1	100	2 2 2
30.7	97	0 4 0
32.5	82	0 2 8
32.6	59	2 2 4
36.4	48	2 2 6

Crystal structure
Cell: 7.1887 11.6507 25.0512 Å, 90.00 90.00 90.00°
Space group Cmme (No. 67)
Inequivalent atoms, fractional coordinates:
Ce (0.0000, 0.2500, 0.0011) x4
Nd (0.0000, 0.0031, 0.9277) x8
Nd (0.0000, 0.0238, 0.4398) x8
Nd (0.2311, 0.2500, 0.5854) x8
Nd (0.2484, 0.2500, 0.1283) x8
Nd (0.2500, 0.0000, 0.1982) x8
Nd (0.2500, 0.0000, 0.3242) x8
Dy (0.0000, 0.2500, 0.2700) x4
Dy (0.0000, 0.2500, 0.7340) x4